(1)
Structure and simulated powder X-ray diffraction pattern of CeBC (the PBE geometry in the Materials Project; Cu Kα).
No peak broadening, texture or thermal motion is included.

Peak list (10 most intense, 2θ = 10–80°, by angle)
d [Å], I_rel, hkl
3.723, 30.7, 1 2 0
3.557, 77.2, 2 1 1
3.174, 52.6, 1 2 2
3.035, 43.2, 0 0 4
2.851, 31.8, 1 0 4
2.738, 88.7, 2 1 3
2.570, 100.0, 3 1 1
2.416, 36.2, 1 3 2
1.839, 33.4, 2 4 1
1.784, 24.7, 3 1 5

Structural model:
Cell lengths 8.309, 8.331, 12.139 Å; angles 90.00, 90.00, 90.00 degrees
Space group P2_12_12_1 (No. 19)
One atom of each set of equivalent atoms:
Ce1 0.052 0.099 0.139 x4
Ce2 0.061 0.697 0.633 x4
Ce3 0.157 0.591 0.903 x4
Ce4 0.160 0.992 0.418 x4
Ce5 0.245 0.291 0.672 x4
B1 0.021 0.892 0.960 x4
B2 0.062 0.295 0.320 x4
B3 0.101 0.981 0.739 x4
B4 0.120 0.404 0.214 x4
B5 0.185 0.301 0.992 x4
C1 0.028 0.301 0.440 x4
C2 0.056 0.884 0.839 x4
C3 0.145 0.994 0.621 x4
C4 0.147 0.403 0.092 x4
C5 0.248 0.302 0.877 x4

(2)
Structure and simulated powder X-ray diffraction pattern of Ba5Sn3 (the PBE geometry in the Materials Project; Cu Kα).
No peak broadening, texture or thermal motion is included.

Peak list (10 most intense, 2θ = 10–80°, by angle)
d [Å], I_rel, hkl
3.320, 100.0, 2 1 3
3.199, 19.9, 2 2 0
3.138, 59.4, 2 0 4
2.861, 46.4, 3 1 0
2.641, 16.9, 2 1 5
2.177, 24.5, 0 0 8
2.053, 15.2, 4 1 3
1.915, 16.7, 3 3 4
1.733, 15.5, 3 1 8
1.644, 31.2, 5 1 4

Structural model:
Cell lengths 9.048, 9.048, 17.421 Å; angles 90.00, 90.00, 90.00 degrees
Space group I4/mcm (No. 140)
One atom of each set of equivalent atoms:
Ba1 0.000 0.000 0.000 x4
Ba2 0.179 0.321 0.143 x16
Sn1 0.000 0.000 0.250 x4
Sn2 0.115 0.385 0.500 x8

(3)
Structure and simulated powder X-ray diffraction pattern of Rb3Hf (the PBE geometry in the Materials Project; Cu Kα).
No peak broadening, texture or thermal motion is included.

Peak list (10 most intense, 2θ = 10–80°, by angle)
d [Å], I_rel, hkl
5.627, 8.4, 1 0 1
3.446, 100.0, 2 0 0
2.939, 5.4, 2 1 1
2.437, 19.5, 2 2 0
1.989, 42.6, 3 1 2
1.723, 13.5, 4 0 0
1.543, 6.3, 1 1 6
1.540, 12.5, 4 2 0
1.407, 4.6, 4 0 4
1.302, 21.4, 5 1 2

Structural model:
Cell lengths 6.887, 6.887, 9.759 Å; angles 90.00, 90.00, 90.00 degrees
Space group I4/mmm (No. 139)
One atom of each set of equivalent atoms:
Rb1 0.000 0.000 0.000 x2
Rb2 0.000 0.500 0.250 x4
Hf1 0.000 0.000 0.500 x2

(4)
Structure and simulated powder X-ray diffraction pattern of MgPd3 (the PBE geometry in the Materials Project; Cu Kα).
No peak broadening, texture or thermal motion is included.

Peak list (9 most intense, 2θ = 10–80°, by angle)
d [Å], I_rel, hkl
3.976, 18.2, 1 0 0
2.811, 14.8, 1 1 0
2.295, 100.0, 1 1 1
1.988, 48.4, 2 0 0
1.778, 7.6, 2 1 0
1.623, 5.6, 2 1 1
1.406, 30.6, 2 2 0
1.325, 3.5, 3 0 0
1.257, 2.4, 3 1 0

Structural model:
Cell lengths 3.976, 3.976, 3.976 Å; angles 90.00, 90.00, 90.00 degrees
Space group Pm-3m (No. 221)
One atom of each set of equivalent atoms:
Mg1 0.000 0.000 0.000 x1
Pd1 0.000 0.500 0.500 x3

(5)
Structure and simulated powder X-ray diffraction pattern of ThCr2Ge2 (the PBE geometry in the Materials Project; Cu Kα).
No peak broadening, texture or thermal motion is included.

Peak list (10 most intense, 2θ = 10–80°, by angle)
d [Å], I_rel, hkl
3.886, 30.2, 1 0 1
2.952, 41.4, 1 1 0
2.703, 100.0, 1 0 3
2.581, 91.9, 1 1 2
2.087, 51.5, 2 0 0
1.896, 37.6, 1 0 5
1.652, 46.5, 2 1 3
1.476, 16.6, 2 2 0
1.404, 28.3, 2 1 5
1.281, 19.7, 3 1 2

Structural model:
Cell lengths 4.174, 4.174, 10.643 Å; angles 90.00, 90.00, 90.00 degrees
Space group I4/mmm (No. 139)
One atom of each set of equivalent atoms:
Th1 0.000 0.000 0.000 x2
Cr1 0.000 0.500 0.250 x4
Ge1 0.000 0.000 0.376 x4